[1]
Diffraction record for Ga2Ag3Au4. The powder diffraction line list is simulated, not measured: it uses a DFT-relaxed cell (PBE, Alexandria) and λ = 1.5418 Å (Cu Kα).
Intensities are scaled so that the largest is 100.

Principal peaks in the range 10° ≤ 2θ ≤ 80°, most intense first:
two_theta, I/Imax, hkl
38.80, 100, 1 2 2
39.07, 74, 2 1 1
38.53, 54, 1 0 3
38.92, 32, 1 -1 2
70.66, 26, 3 3 3
56.42, 21, 2 3 0
31.31, 19, 0 1 -2
28.60, 16, 1 1 2
38.24, 16, 0 0 3
34.29, 14, 1 2 0

Atomic structure:
Cell: 4.6089 5.4081 7.4254 Å, 82.21 71.95 64.79°
Space group P-1 (No. 2)
Inequivalent atoms, fractional coordinates:
Ga (0.1721, 0.4300, 0.2268) x2
Ag (0.4920, 0.8454, 0.1707) x2
Ag (0.5000, 0.5000, 0.5000) x1
Au (0.1505, 0.1351, 0.5639) x2
Au (0.1754, 0.7514, 0.8970) x2

---

[2]
Diffraction record for Ga4Ag3Au. The powder diffraction line list is simulated, not measured: it uses a DFT-relaxed cell (PBE, Alexandria) and λ = 1.5418 Å (Cu Kα).
Intensities are scaled so that the largest is 100.

Principal peaks in the range 10° ≤ 2θ ≤ 80°, most intense first:
two_theta, I/Imax, hkl
38.50, 100, 0 2 2
35.94, 93, 2 1 1
45.17, 84, 2 3 1
37.74, 64, 0 4 0
30.24, 60, 2 0 0
32.75, 39, 0 3 1
49.72, 31, 2 2 2
45.66, 28, 2 0 2
76.21, 25, 4 2 2
33.39, 23, 0 0 2

Atomic structure:
Cell: 5.9115 9.5336 5.3670 Å, 90.00 90.00 90.00°
Space group Imm2 (No. 44)
Inequivalent atoms, fractional coordinates:
Ga (0.0000, 0.2322, 0.0000) x4
Ga (0.2390, 0.0000, 0.2158) x4
Ag (0.0000, 0.0000, 0.6814) x2
Ag (0.0000, 0.2821, 0.5058) x4
Au (0.0000, 0.5000, 0.1407) x2

---

[3]
Diffraction record for GaAg5Au6. The powder diffraction line list is simulated, not measured: it uses a DFT-relaxed cell (PBE, Alexandria) and λ = 1.5418 Å (Cu Kα).
Intensities are scaled so that the largest is 100.

Principal peaks in the range 10° ≤ 2θ ≤ 80°, most intense first:
two_theta, I/Imax, hkl
37.43, 100, 1 2 1
37.72, 98, 1 2 -2
42.94, 34, 0 0 3
44.08, 32, 2 0 -1
43.95, 31, 0 4 0
76.48, 24, 3 2 0
63.13, 21, 0 4 3
64.01, 20, 2 4 -1
21.57, 17, 0 2 0
74.86, 13, 1 2 4

Atomic structure:
Cell: 4.1089 8.2399 6.6228 Å, 90.00 107.44 90.00°
Space group P2/m (No. 10)
Inequivalent atoms, fractional coordinates:
Ga (0.0000, 0.0000, 0.0000) x1
Ag (0.0000, 0.5000, 0.0000) x1
Ag (0.3316, 0.0000, 0.6651) x2
Ag (0.3349, 0.5000, 0.6695) x2
Au (0.1661, 0.2494, 0.3320) x4
Au (0.5000, 0.2399, 0.0000) x2

---

[4]
Diffraction record for KGa3AgAu. The powder diffraction line list is simulated, not measured: it uses a DFT-relaxed cell (PBE, Alexandria) and λ = 1.5418 Å (Cu Kα).
Intensities are scaled so that the largest is 100.

Principal peaks in the range 10° ≤ 2θ ≤ 80°, most intense first:
two_theta, I/Imax, hkl
13.09, 100, 0 2 0
37.92, 75, 2 0 2
44.80, 48, 1 5 2
27.26, 47, 2 0 0
35.56, 38, 1 3 2
19.83, 36, 1 1 1
30.05, 33, 1 1 2
25.87, 27, 0 0 2
35.93, 26, 1 5 0
26.36, 25, 0 4 0

Atomic structure:
Cell: 6.5487 13.5229 6.8872 Å, 90.00 90.00 90.00°
Space group Cmcm (No. 63)
Inequivalent atoms, fractional coordinates:
K (0.0000, 0.2489, 0.2500) x4
Ga (0.0000, 0.3092, 0.7500) x4
Ga (0.2009, 0.0000, 0.0000) x8
Ag (0.0000, 0.1230, 0.7500) x4
Au (0.0000, 0.4911, 0.7500) x4

---

[5]
Diffraction record for Na2Ga4AgAu3. The powder diffraction line list is simulated, not measured: it uses a DFT-relaxed cell (PBE, Alexandria) and λ = 1.5418 Å (Cu Kα).
Intensities are scaled so that the largest is 100.

Principal peaks in the range 10° ≤ 2θ ≤ 80°, most intense first:
two_theta, I/Imax, hkl
44.32, 100, 1 1 4
21.58, 95, 1 0 1
32.94, 81, 1 1 2
40.45, 81, 2 0 0
16.52, 42, 0 0 2
76.27, 41, 3 1 4
32.07, 40, 1 0 3
29.52, 36, 1 1 1
25.98, 32, 1 0 2
58.54, 27, 2 2 0

Atomic structure:
Cell: 4.4595 4.4595 10.7350 Å, 90.00 90.00 90.00°
Space group P-4m2 (No. 115)
Inequivalent atoms, fractional coordinates:
Na (0.0000, 0.5000, 0.2457) x2
Ga (0.0000, 0.0000, 0.5000) x1
Ga (0.0000, 0.5000, 0.8689) x2
Ga (0.5000, 0.5000, 0.5000) x1
Ag (0.5000, 0.5000, 0.0000) x1
Au (0.0000, 0.0000, 0.0000) x1
Au (0.0000, 0.5000, 0.6337) x2

---

[6]
Diffraction record for Nd2Ga3AgAu4. The powder diffraction line list is simulated, not measured: it uses a DFT-relaxed cell (PBE, Alexandria) and λ = 1.5418 Å (Cu Kα).
Intensities are scaled so that the largest is 100.

Principal peaks in the range 10° ≤ 2θ ≤ 80°, most intense first:
two_theta, I/Imax, hkl
33.25, 100, 1 1 2
41.71, 54, 2 0 0
31.40, 29, 1 0 3
43.49, 28, 1 1 4
45.11, 27, 1 0 5
70.78, 22, 3 1 2
63.11, 20, 2 1 5
60.46, 18, 2 2 0
53.15, 17, 2 1 3
25.88, 13, 1 0 2

Atomic structure:
Cell: 4.3306 4.3306 11.3461 Å, 90.00 90.00 90.00°
Space group P-4m2 (No. 115)
Inequivalent atoms, fractional coordinates:
Nd (0.0000, 0.5000, 0.2404) x2
Ga (0.0000, 0.5000, 0.8715) x2
Ga (0.5000, 0.5000, 0.5000) x1
Ag (0.0000, 0.0000, 0.5000) x1
Au (0.0000, 0.0000, 0.0000) x1
Au (0.0000, 0.5000, 0.6506) x2
Au (0.5000, 0.5000, 0.0000) x1

---

[7]
Diffraction record for PaGaAgAu. The powder diffraction line list is simulated, not measured: it uses a DFT-relaxed cell (PBE, Alexandria) and λ = 1.5418 Å (Cu Kα).
Intensities are scaled so that the largest is 100.

Principal peaks in the range 10° ≤ 2θ ≤ 80°, most intense first:
two_theta, I/Imax, hkl
36.87, 100, 2 2 0
66.43, 36, 4 2 2
53.13, 18, 4 0 0
22.33, 17, 1 1 1
78.47, 11, 4 4 0
43.53, 10, 3 1 1
58.34, 4, 3 3 1
71.04, 3, 5 1 1
25.84, 2, 2 0 0
60.01, 1, 4 2 0

Atomic structure:
Cell: 6.8948 6.8948 6.8948 Å, 90.00 90.00 90.00°
Space group F-43m (No. 216)
Inequivalent atoms, fractional coordinates:
Pa (0.0000, 0.0000, 0.0000) x4
Ga (0.2500, 0.2500, 0.7500) x4
Ag (0.0000, 0.0000, 0.5000) x4
Au (0.2500, 0.2500, 0.2500) x4

---

[8]
Diffraction record for GaAgPbAu. The powder diffraction line list is simulated, not measured: it uses a DFT-relaxed cell (PBE, Alexandria) and λ = 1.5418 Å (Cu Kα).
Intensities are scaled so that the largest is 100.

Principal peaks in the range 10° ≤ 2θ ≤ 80°, most intense first:
two_theta, I/Imax, hkl
36.15, 100, 2 2 0
65.01, 36, 4 2 2
52.05, 18, 4 0 0
21.90, 16, 1 1 1
76.70, 11, 4 4 0
42.67, 9, 3 1 1
57.12, 4, 3 3 1
69.49, 3, 5 1 1

Atomic structure:
Cell: 7.0285 7.0285 7.0285 Å, 90.00 90.00 90.00°
Space group F-43m (No. 216)
Inequivalent atoms, fractional coordinates:
Ga (0.0000, 0.0000, 0.0000) x4
Ag (0.2500, 0.2500, 0.7500) x4
Pb (0.0000, 0.0000, 0.5000) x4
Au (0.2500, 0.2500, 0.2500) x4

---

[9]
Diffraction record for PmGa2AgAu5. The powder diffraction line list is simulated, not measured: it uses a DFT-relaxed cell (PBE, Alexandria) and λ = 1.5418 Å (Cu Kα).
Intensities are scaled so that the largest is 100.

Principal peaks in the range 10° ≤ 2θ ≤ 80°, most intense first:
two_theta, I/Imax, hkl
34.74, 100, 1 1 2
36.66, 58, 2 0 0
64.77, 34, 3 1 2
52.81, 21, 2 2 0
60.99, 19, 2 0 4
43.72, 13, 1 1 3
79.21, 12, 1 1 6
73.31, 11, 2 2 4
46.94, 10, 0 0 4
22.97, 7, 0 0 2

Atomic structure:
Cell: 4.9031 4.9031 7.7422 Å, 90.00 90.00 90.00°
Space group P4/mmm (No. 123)
Inequivalent atoms, fractional coordinates:
Pm (0.0000, 0.0000, 0.0000) x1
Ga (0.5000, 0.5000, 0.3435) x2
Ag (0.0000, 0.0000, 0.5000) x1
Au (0.0000, 0.5000, 0.2454) x4
Au (0.5000, 0.5000, 0.0000) x1

---

[10]
Diffraction record for Pr4GaAgAu2. The powder diffraction line list is simulated, not measured: it uses a DFT-relaxed cell (PBE, Alexandria) and λ = 1.5418 Å (Cu Kα).
Intensities are scaled so that the largest is 100.

Principal peaks in the range 10° ≤ 2θ ≤ 80°, most intense first:
two_theta, I/Imax, hkl
33.76, 100, 1 1 0
60.40, 37, 3 0 0
48.50, 18, 2 0 8
71.02, 11, 2 2 0
20.49, 7, 0 0 6
39.82, 4, 1 1 6
53.17, 2, 0 1 14
74.81, 2, 1 2 14
64.49, 2, 2 0 14

Atomic structure:
Cell: 5.3068 5.3068 26.0330 Å, 90.00 90.00 120.00°
Space group R-3m (No. 166, hexagonal axes)
Inequivalent atoms, fractional coordinates:
Pr (0.0000, 0.0000, 0.1237) x6
Pr (0.0000, 0.0000, 0.3744) x6
Ga (0.0000, 0.0000, 0.0000) x3
Ag (0.0000, 0.0000, 0.5000) x3
Au (0.0000, 0.0000, 0.2500) x6

---

[11]
Diffraction record for Sr3Ga2AgAu6. The powder diffraction line list is simulated, not measured: it uses a DFT-relaxed cell (PBE, Alexandria) and λ = 1.5418 Å (Cu Kα).
Intensities are scaled so that the largest is 100.

Principal peaks in the range 10° ≤ 2θ ≤ 80°, most intense first:
two_theta, I/Imax, hkl
34.08, 100, 0 2 1
38.54, 52, 2 0 2
45.14, 38, 0 2 3
19.00, 38, 1 0 1
34.79, 36, 1 1 2
20.20, 33, 0 0 2
57.93, 26, 2 2 0
32.47, 15, 2 0 0
30.49, 14, 0 0 3
54.06, 14, 0 3 2

Atomic structure:
Cell: 6.3677 6.3677 8.7941 Å, 90.00 90.00 120.00°
Space group P-3m1 (No. 164)
Inequivalent atoms, fractional coordinates:
Sr (0.0000, 0.0000, 0.0000) x1
Sr (0.3333, 0.6667, 0.6309) x2
Ga (0.3333, 0.6667, 0.0471) x2
Ag (0.0000, 0.0000, 0.5000) x1
Au (0.1782, 0.3564, 0.2796) x6

---

[12]
Diffraction record for TbGa2AgAu2. The powder diffraction line list is simulated, not measured: it uses a DFT-relaxed cell (PBE, Alexandria) and λ = 1.5418 Å (Cu Kα).
Intensities are scaled so that the largest is 100.

Principal peaks in the range 10° ≤ 2θ ≤ 80°, most intense first:
two_theta, I/Imax, hkl
35.60, 100, 0 1 2
39.80, 86, 1 1 0
26.44, 39, 1 0 1
54.45, 29, 2 0 2
69.52, 28, 1 2 2
70.74, 26, 1 1 4
72.24, 15, 3 0 0
48.80, 10, 1 1 2
55.84, 9, 0 0 4
47.46, 8, 1 0 3

Atomic structure:
Cell: 4.5302 4.5302 6.5854 Å, 90.00 90.00 120.00°
Space group P-3m1 (No. 164)
Inequivalent atoms, fractional coordinates:
Tb (0.0000, 0.0000, 0.0000) x1
Ga (0.3333, 0.6667, 0.2801) x2
Ag (0.0000, 0.0000, 0.5000) x1
Au (0.3333, 0.6667, 0.7344) x2

---

[13]
Diffraction record for ZnGaAgAu. The powder diffraction line list is simulated, not measured: it uses a DFT-relaxed cell (PBE, Alexandria) and λ = 1.5418 Å (Cu Kα).
Intensities are scaled so that the largest is 100.

Principal peaks in the range 10° ≤ 2θ ≤ 80°, most intense first:
two_theta, I/Imax, hkl
37.95, 100, 1 1 1
44.79, 75, 1 1 3
38.68, 69, 1 0 4
41.11, 47, 2 0 0
32.62, 36, 0 0 4
31.77, 34, 0 1 1
25.98, 34, 1 0 2
16.14, 26, 0 0 2
52.15, 26, 0 1 5
68.47, 23, 2 1 5

Atomic structure:
Cell: 4.3917 2.9138 10.9805 Å, 90.00 90.00 90.00°
Space group Amm2 (No. 38)
Inequivalent atoms, fractional coordinates:
Zn (0.0000, 0.0000, 0.0000) x2
Ga (0.5000, 0.0000, 0.3214) x2
Ag (0.0000, 0.0000, 0.7407) x2
Au (0.5000, 0.0000, 0.5639) x2

---

[14]
Diffraction record for Ag8GeAu4. The powder diffraction line list is simulated, not measured: it uses a DFT-relaxed cell (PBE, Alexandria) and λ = 1.5418 Å (Cu Kα).
Intensities are scaled so that the largest is 100.

Principal peaks in the range 10° ≤ 2θ ≤ 80°, most intense first:
two_theta, I/Imax, hkl
37.53, 100, 2 0 -1
40.89, 74, 1 1 -4
39.09, 65, 1 0 6
39.61, 59, 1 0 -7
38.43, 39, 1 1 2
40.63, 39, 1 1 3
38.64, 32, 1 1 -3
36.92, 30, 1 1 1
37.07, 20, 1 1 -2
76.72, 20, 2 1 -11

Atomic structure:
Cell: 4.7900 2.9127 17.0803 Å, 90.00 97.19 90.00°
Space group Pm (No. 6)
Inequivalent atoms, fractional coordinates:
Ag (0.0000, 0.0000, 0.0000) x1
Ag (0.0352, 0.5000, 0.3215) x1
Ag (0.1045, 0.0000, 0.4732) x1
Ag (0.2352, 0.0000, 0.7721) x1
Ag (0.4921, 0.5000, 0.2259) x1
Ag (0.5301, 0.5000, 0.0645) x1
Ag (0.6293, 0.5000, 0.5266) x1
Ag (0.6979, 0.0000, 0.6792) x1
Ge (0.4536, 0.0000, 0.9228) x1
Au (0.1739, 0.5000, 0.6231) x1
Au (0.5594, 0.0000, 0.3764) x1
Au (0.7907, 0.5000, 0.8376) x1
Au (0.9754, 0.0000, 0.1676) x1